Starting from a GGA-PBE-relaxed structure, the XRD peak list of Ce2Fe17C3 was computed for Cu Kα X-rays.

Principal peaks in the range 10° ≤ 2θ ≤ 80°, by angle:
2θ (°)	intensity	h k l
29.73	36	1 1 3
35.77	39	3 0 0
37.45	31	0 2 4
41.54	78	2 2 0
42.05	100	3 0 3
43.53	49	0 0 6

Crystal structure
```
data_Ce2Fe17C3
_symmetry_space_group_name_H-M 'R -3 m'
_symmetry_Int_Tables_number 166
_symmetry_space_group_name_Hall '-R 3 2"'
_cell_length_a 8.6951
_cell_length_b 8.6951
_cell_length_c 12.4731
_cell_angle_alpha 90.00
_cell_angle_beta 90.00
_cell_angle_gamma 120.00
loop_
_atom_site_label
_atom_site_type_symbol
_atom_site_fract_x
_atom_site_fract_y
_atom_site_fract_z
_atom_site_occupancy
Ce1 Ce 0.0000 0.0000 0.1554 1
Fe1 Fe 0.0000 0.0000 0.4046 1
Fe2 Fe 0.0000 0.2834 0.5000 1
Fe3 Fe 0.0000 0.5000 0.0000 1
Fe4 Fe 0.0098 0.5049 0.3470 1
C1 C 0.0000 0.5000 0.5000 1
```